Starting from DFT lattice parameters and positions (PBE+U), the PXRD pattern of MgFePO5 was computed for Cu Kα, 1.54184 Å.
Kinematic intensities with the Lorentz-polarization factor, no thermal factor.

Cell and atoms:
Cell: 5.3708 5.3713 7.0232 Å, 105.03 105.03 99.26°
Fractional coordinates of all 16 atoms:
Mg: 0.0000 0.0000 0.0000
Mg: 0.3626 0.6443 0.5030
Fe: 0.6079 0.2658 0.6925
Fe: 0.6236 0.2463 0.1927
P: 0.2522 0.5886 0.9364
P: 0.9471 0.8889 0.4371
O: 0.2318 0.9858 0.5971
O: 0.2803 0.3743 0.0469
O: 0.3404 0.8738 0.0955
O: 0.4178 0.5627 0.7838
O: 0.5174 0.3413 0.4342
O: 0.7029 0.1628 0.9359
O: 0.7325 0.9180 0.5476
O: 0.9130 0.0444 0.2777
O: 0.9379 0.5944 0.3275
O: 0.9588 0.5737 0.8195

Principal peaks in the range 5 to 70 degrees two-theta, sorted by position:
5.030 Å, 2θ 17.63, I = 276
3.467 Å, 2θ 25.69, I = 200
3.210 Å, 2θ 27.80, I = 1000
3.188 Å, 2θ 27.99, I = 728
2.529 Å, 2θ 35.49, I = 285
2.508 Å, 2θ 35.80, I = 427
1.677 Å, 2θ 54.75, I = 332
1.463 Å, 2θ 63.61, I = 217